Calculated powder X-ray diffraction pattern
Compound: Pm3Sm6Ho2Mg
Radiation: λ = 1.5418 Å (Cu Kα)
Structure: a GGA-PBE-relaxed structure
No peak broadening, texture or thermal motion is included.

Structural model:
Unit cell a=6.2394 b=6.2394 c=11.8229 alpha=95.07 beta=95.07 gamma=120.05
Fractional positions:
Pm (0.0000, 0.0000, 0.0000)
Pm (0.3335, 0.6665, 0.0000)
Pm (0.6665, 0.3335, 0.0000)
Sm (0.0876, 0.4197, 0.2553)
Sm (0.2484, 0.2484, 0.7461)
Sm (0.4197, 0.0876, 0.2553)
Sm (0.5803, 0.9124, 0.7447)
Sm (0.7516, 0.7516, 0.2539)
Sm (0.9124, 0.5803, 0.7447)
Ho (0.1665, 0.8335, 0.5000)
Ho (0.8335, 0.1665, 0.5000)
Mg (0.5000, 0.5000, 0.5000)

Main lines, by intensity (2θ from 5° to 70°):
two_theta  I (rel.)
30.44  100
35.37  67
30.73  32
60.46  28
50.70  24
51.09  23
60.29  14
60.81  14
63.33  12
64.01  4


Calculated powder X-ray diffraction pattern
Compound: Yb3Tc
Radiation: λ = 1.5418 Å (Cu Kα)
Structure: a GGA-PBE-relaxed structure
No peak broadening, texture or thermal motion is included.

Structural model:
Unit cell a=4.8590 b=4.8590 c=8.2839 alpha=90.00 beta=90.00 gamma=90.00
Fractional positions:
Yb (0.0000, 0.0000, 0.0000)
Yb (0.0000, 0.5000, 0.2500)
Yb (0.0000, 0.5000, 0.7500)
Yb (0.5000, 0.0000, 0.2500)
Yb (0.5000, 0.0000, 0.7500)
Yb (0.5000, 0.5000, 0.5000)
Tc (0.0000, 0.0000, 0.5000)
Tc (0.5000, 0.5000, 0.0000)

Main lines, by intensity (2θ from 5° to 70°):
two_theta  I (rel.)
33.90  100
37.00  39
64.71  31
58.57  21
53.33  14
43.71  12
21.20  4
43.03  1
25.93  1
37.46  1


Calculated powder X-ray diffraction pattern
Compound: LaTbSm2Dy5
Radiation: λ = 1.5418 Å (Cu Kα)
Structure: a GGA-PBE-relaxed structure
No peak broadening, texture or thermal motion is included.

Structural model:
Unit cell a=9.9069 b=9.9069 c=9.9069 alpha=127.33 beta=127.33 gamma=77.72
Fractional positions:
La (0.2500, 0.2500, 0.0000)
La (0.7500, 0.7500, 0.0000)
Tb (0.2500, 0.7500, 0.5000)
Tb (0.7500, 0.2500, 0.5000)
Sm (0.1163, 0.6163, 0.7326)
Sm (0.3837, 0.1163, 0.5000)
Sm (0.6163, 0.8837, 0.5000)
Sm (0.8837, 0.3837, 0.2674)
Dy (0.0000, 0.0000, 0.0000)
Dy (0.0726, 0.1575, 0.5000)
Dy (0.1575, 0.6575, 0.0849)
Dy (0.3425, 0.4274, 0.5000)
Dy (0.4274, 0.9274, 0.0849)
Dy (0.5000, 0.5000, 0.0000)
Dy (0.5726, 0.0726, 0.9151)
Dy (0.6575, 0.5726, 0.5000)
Dy (0.8425, 0.3425, 0.9151)
Dy (0.9274, 0.8425, 0.5000)

Main lines, by intensity (2θ from 5° to 70°):
two_theta  I (rel.)
30.84  100
28.73  50
28.58  49
52.23  22
42.81  21
37.34  18
37.04  14
56.13  14
32.20  13
47.12  13


Calculated powder X-ray diffraction pattern
Compound: Pr6ZnCu5
Radiation: λ = 1.5418 Å (Cu Kα)
Structure: a GGA-PBE-relaxed structure
No peak broadening, texture or thermal motion is included.

Structural model:
Unit cell a=5.1595 b=7.2344 c=8.1632 alpha=90.00 beta=108.54 gamma=90.00
Fractional positions:
Pr (0.0000, 0.2435, 0.0000)
Pr (0.0000, 0.7565, 0.0000)
Pr (0.3312, 0.2486, 0.6621)
Pr (0.3312, 0.7514, 0.6621)
Pr (0.6688, 0.2486, 0.3379)
Pr (0.6688, 0.7514, 0.3379)
Zn (0.5000, 0.5000, 0.0000)
Cu (0.1598, 0.5000, 0.3193)
Cu (0.1652, 0.0000, 0.3324)
Cu (0.5000, 0.0000, 0.0000)
Cu (0.8348, 0.0000, 0.6676)
Cu (0.8402, 0.5000, 0.6807)

Main lines, by intensity (2θ from 5° to 70°):
two_theta  I (rel.)
34.93  100
34.77  51
62.44  35
62.74  17
24.40  15
49.94  9
50.05  9
50.46  9
24.61  7
43.07  7